The following is a theoretical PXRD pattern of Zr3Sc4O12. It was derived from DFT lattice parameters and positions (GGA-PBE), using λ = 1.5418 Å (Cu Kα).
Intensities are scaled so that the largest is 1000.

Cell and atoms:
```
data_Zr3Sc4O12
_cell_length_a 6.217
_cell_length_b 6.241
_cell_length_c 12.457
_cell_angle_alpha 99.54
_cell_angle_beta 99.41
_cell_angle_gamma 99.55
_space_group_name_H-M_alt 'P 1'
_space_group_IT_number 1
_space_group_name_Hall 'P 1'
loop_
_atom_site_label
_atom_site_type_symbol
_atom_site_fract_x
_atom_site_fract_y
_atom_site_fract_z
_atom_site_occupancy
Zr1 Zr 0.000 0.000 0.000 1
Zr2 Zr 0.001 0.998 0.503 1
Zr3 Zr 0.143 0.612 0.161 1
Zr4 Zr 0.318 0.142 0.810 1
Zr5 Zr 0.613 0.321 0.572 1
Zr6 Zr 0.689 0.873 0.200 1
Sc1 Sc 0.143 0.611 0.663 1
Sc2 Sc 0.323 0.151 0.308 1
Sc3 Sc 0.396 0.676 0.931 1
Sc4 Sc 0.396 0.686 0.435 1
Sc5 Sc 0.611 0.324 0.074 1
Sc6 Sc 0.681 0.860 0.700 1
Sc7 Sc 0.865 0.400 0.346 1
Sc8 Sc 0.865 0.400 0.844 1
O1 O 0.063 0.684 0.453 1
O2 O 0.067 0.680 0.960 1
O3 O 0.090 0.940 0.166 1
O4 O 0.104 0.944 0.664 1
O5 O 0.182 0.421 0.790 1
O6 O 0.183 0.426 0.289 1
O7 O 0.324 0.104 0.473 1
O8 O 0.324 0.106 0.975 1
O9 O 0.423 0.577 0.593 1
O10 O 0.424 0.582 0.094 1
O11 O 0.426 0.825 0.796 1
O12 O 0.428 0.827 0.293 1
O13 O 0.575 0.182 0.713 1
O14 O 0.579 0.185 0.212 1
O15 O 0.584 0.428 0.414 1
O16 O 0.585 0.422 0.913 1
O17 O 0.679 0.905 0.034 1
O18 O 0.679 0.916 0.536 1
O19 O 0.822 0.589 0.216 1
O20 O 0.823 0.583 0.714 1
O21 O 0.907 0.067 0.343 1
O22 O 0.914 0.065 0.842 1
O23 O 0.941 0.327 0.550 1
O24 O 0.945 0.323 0.055 1
```

Peak list (8 most intense, 2θ from 15° to 90°, by angle)
(1 -2 0), 2θ 30.40, I = 1000
(2 0 -2), 2θ 30.52, I = 353
(-1 1 4), 2θ 35.28, I = 238
(1 -3 4), 2θ 50.68, I = 339
(3 1 0), 2θ 50.78, I = 117
(-3 2 2), 2θ 50.86, I = 244
(3 -3 2), 2θ 60.34, I = 224
(-3 1 6), 2θ 60.46, I = 108



The following is a theoretical PXRD pattern of LiF. It was derived from DFT lattice parameters and positions (GGA-PBE), using λ = 1.5418 Å (Cu Kα).
Intensities are scaled so that the largest is 1000.

Cell and atoms:
```
data_LiF
_cell_length_a 4.083
_cell_length_b 4.083
_cell_length_c 4.083
_cell_angle_alpha 90.00
_cell_angle_beta 90.00
_cell_angle_gamma 90.00
_space_group_name_H-M_alt 'F m -3 m'
_space_group_IT_number 225
_space_group_name_Hall '-F 4 2 3'
loop_
_atom_site_label
_atom_site_type_symbol
_atom_site_fract_x
_atom_site_fract_y
_atom_site_fract_z
_atom_site_occupancy
Li1 Li 0.000 0.000 0.000 1
F1 F 0.000 0.000 0.500 1
```

Peak list (5 most intense, 2θ from 15° to 90°, by angle)
(1 1 1), 2θ 38.17, I = 749
(2 0 0), 2θ 44.37, I = 1000
(2 2 0), 2θ 64.55, I = 509
(3 1 1), 2θ 77.53, I = 124
(2 2 2), 2θ 81.69, I = 142



The following is a theoretical PXRD pattern of KMg6Nb. It was derived from DFT lattice parameters and positions (GGA-PBE), using λ = 1.5418 Å (Cu Kα).
Intensities are scaled so that the largest is 1000.

Cell and atoms:
```
data_KMg6Nb
_cell_length_a 6.593
_cell_length_b 6.593
_cell_length_c 4.541
_cell_angle_alpha 90.00
_cell_angle_beta 90.00
_cell_angle_gamma 90.00
_space_group_name_H-M_alt 'P 4/m m m'
_space_group_IT_number 123
_space_group_name_Hall '-P 4 2'
loop_
_atom_site_label
_atom_site_type_symbol
_atom_site_fract_x
_atom_site_fract_y
_atom_site_fract_z
_atom_site_occupancy
K1 K 0.000 0.000 0.000 1
Mg1 Mg 0.000 0.500 0.000 1
Mg2 Mg 0.281 0.281 0.500 1
Nb1 Nb 0.500 0.500 0.000 1
```

Peak list (8 most intense, 2θ from 15° to 90°, by angle)
(1 1 0), 2θ 19.04, I = 211
(1 1 1), 2θ 27.42, I = 142
(2 0 1), 2θ 33.60, I = 1000
(2 2 0), 2θ 38.63, I = 319
(0 0 2), 2θ 39.70, I = 164
(2 2 2), 2θ 56.59, I = 198
(4 2 1), 2θ 66.71, I = 201
(2 0 3), 2θ 68.17, I = 115



The following is a theoretical PXRD pattern of RbMg6Al. It was derived from DFT lattice parameters and positions (GGA-PBE), using λ = 1.5418 Å (Cu Kα).
Intensities are scaled so that the largest is 1000.

Cell and atoms:
```
data_RbMg6Al
_cell_length_a 5.135
_cell_length_b 7.067
_cell_length_c 12.097
_cell_angle_alpha 90.00
_cell_angle_beta 90.00
_cell_angle_gamma 90.00
_space_group_name_H-M_alt 'A m m 2'
_space_group_IT_number 38
_space_group_name_Hall 'A 2 -2'
loop_
_atom_site_label
_atom_site_type_symbol
_atom_site_fract_x
_atom_site_fract_y
_atom_site_fract_z
_atom_site_occupancy
Rb1 Rb 0.000 0.000 0.000 1
Mg1 Mg 0.000 0.000 0.498 1
Mg2 Mg 0.000 0.233 0.251 1
Mg3 Mg 0.500 0.000 0.668 1
Mg4 Mg 0.500 0.215 0.404 1
Al1 Al 0.500 0.000 0.197 1
```

Peak list (8 most intense, 2θ from 15° to 90°, by angle)
(1 0 2), 2θ 22.66, I = 464
(0 2 2), 2θ 29.27, I = 279
(1 2 2), 2θ 34.18, I = 1000
(1 0 4), 2θ 34.41, I = 470
(2 0 0), 2θ 34.94, I = 322
(0 2 6), 2θ 52.24, I = 159
(3 2 2), 2θ 62.18, I = 167
(2 2 6), 2θ 64.40, I = 166